Computed powder diffractogram of Li2La2Sn3 for Cu Kα X-rays, from the GGA-PBE geometry in Alexandria.

Cell and atoms:
```
data_Li2La2Sn3
_cell_length_a 4.7913
_cell_length_b 20.3216
_cell_length_c 7.4868
_cell_angle_alpha 90.00
_cell_angle_beta 90.00
_cell_angle_gamma 90.00
_space_group_name_H-M_alt 'C m c m'
_space_group_IT_number 63
_space_group_name_Hall '-C 2c 2'
loop_
_atom_site_label
_atom_site_type_symbol
_atom_site_fract_x
_atom_site_fract_y
_atom_site_fract_z
Li1 Li 0.0000 0.1938 0.0635
La1 La 0.0000 0.3406 0.2500
La2 La 0.0000 0.4505 0.7500
Sn1 Sn 0.0000 0.0672 0.5570
Sn2 Sn 0.0000 0.2800 0.7500
```

Main lines, in order of falling intensity (2θ from 10° to 90°):
2θ = 31.2°, I 1000, (1 5 1)
2θ = 30.6°, I 969, (1 1 2)
2θ = 37.5°, I 377, (2 0 0)
2θ = 28.8°, I 234, (1 5 0)
2θ = 22.7°, I 216, (1 3 0)
2θ = 63.8°, I 211, (3 5 1)